[1]
Starting from a DFT-relaxed cell (PBE, Alexandria), the powder diffraction line list of Ac5SmRh3 was simulated for Cu Kα X-rays.

Main lines, sorted by position (10° ≤ 2θ ≤ 90°):
27.02 deg, intensity 100, hkl 1 1 -3
27.37 deg, intensity 93, hkl 1 1 3
28.16 deg, intensity 33, hkl 1 0 -6
34.96 deg, intensity 36, hkl 2 1 -3
41.25 deg, intensity 32, hkl 0 2 0
43.96 deg, intensity 63, hkl 0 1 9

Structural model:
Lattice parameters (Å, degrees): 7.0007 4.3772 21.0275 90.00 91.68 90.00
Atoms (fractional coordinates):
Ac  0.1730  0.0000  0.4053
Ac  0.2346  0.0000  0.0602
Ac  0.2574  0.5000  0.8884
Ac  0.3006  0.5000  0.2353
Ac  0.3268  0.5000  0.5753
Ac  0.6732  0.5000  0.4247
Ac  0.6994  0.5000  0.7647
Ac  0.7426  0.5000  0.1116
Ac  0.7654  0.0000  0.9398
Ac  0.8270  0.0000  0.5947
Sm  0.2044  0.0000  0.7313
Sm  0.7956  0.0000  0.2687
Rh  0.0000  0.5000  0.0000
Rh  0.0164  0.5000  0.6695
Rh  0.4852  0.0000  0.8311
Rh  0.5000  0.0000  0.5000
Rh  0.5148  0.0000  0.1689
Rh  0.9836  0.5000  0.3305


[2]
Starting from a DFT-relaxed cell (PBE, Alexandria), the powder diffraction line list of AcSm3Rh was simulated for Cu Kα X-rays.

Main lines, sorted by position (10° ≤ 2θ ≤ 90°):
29.34 deg, intensity 17, hkl 0 0 2
30.02 deg, intensity 100, hkl 2 0 1
39.67 deg, intensity 30, hkl 2 0 2
46.07 deg, intensity 29, hkl 2 2 0
52.46 deg, intensity 21, hkl 2 0 3
55.96 deg, intensity 17, hkl 4 0 1

Structural model:
Lattice parameters (Å, degrees): 7.8815 7.8815 6.0883 90.00 90.00 120.00
Atoms (fractional coordinates):
Ac  0.3333  0.6667  0.2500
Ac  0.6667  0.3333  0.7500
Sm  0.1751  0.3502  0.7500
Sm  0.1751  0.8249  0.7500
Sm  0.3502  0.1751  0.2500
Sm  0.6498  0.8249  0.7500
Sm  0.8249  0.1751  0.2500
Sm  0.8249  0.6498  0.2500
Rh  0.0000  0.0000  0.0000
Rh  0.0000  0.0000  0.5000


Please write out number 1 again, unchanged.
Starting from a DFT-relaxed cell (PBE, Alexandria), the powder diffraction line list of Ac5SmRh3 was simulated for Cu Kα X-rays.

Main lines, sorted by position (10° ≤ 2θ ≤ 90°):
27.02 deg, intensity 100, hkl 1 1 -3
27.37 deg, intensity 93, hkl 1 1 3
28.16 deg, intensity 33, hkl 1 0 -6
34.96 deg, intensity 36, hkl 2 1 -3
41.25 deg, intensity 32, hkl 0 2 0
43.96 deg, intensity 63, hkl 0 1 9

Structural model:
Lattice parameters (Å, degrees): 7.0007 4.3772 21.0275 90.00 91.68 90.00
Atoms (fractional coordinates):
Ac  0.1730  0.0000  0.4053
Ac  0.2346  0.0000  0.0602
Ac  0.2574  0.5000  0.8884
Ac  0.3006  0.5000  0.2353
Ac  0.3268  0.5000  0.5753
Ac  0.6732  0.5000  0.4247
Ac  0.6994  0.5000  0.7647
Ac  0.7426  0.5000  0.1116
Ac  0.7654  0.0000  0.9398
Ac  0.8270  0.0000  0.5947
Sm  0.2044  0.0000  0.7313
Sm  0.7956  0.0000  0.2687
Rh  0.0000  0.5000  0.0000
Rh  0.0164  0.5000  0.6695
Rh  0.4852  0.0000  0.8311
Rh  0.5000  0.0000  0.5000
Rh  0.5148  0.0000  0.1689
Rh  0.9836  0.5000  0.3305